Starting from a structure optimized by DFT (PBE), the powder diffraction line list of Cs3Nb2I9 was computed for Cu Kα (λ = 1.5418 Å).
Neutral-atom scattering factors, no anomalous dispersion.

Atomic structure:
```
data_Cs3Nb2I9
_chemical_formula_sum 'Cs6 Nb4 I18'
_cell_length_a 8.5463
_cell_length_b 8.5463
_cell_length_c 19.9614
_cell_angle_alpha 90.00
_cell_angle_beta 90.00
_cell_angle_gamma 120.00
_symmetry_space_group_name_H-M 'P 63/m m c'
_symmetry_Int_Tables_number 194
_symmetry_space_group_name_Hall '-P 6c 2c'
loop_
_atom_site_label
_atom_site_type_symbol
_atom_site_fract_x
_atom_site_fract_y
_atom_site_fract_z
Cs1 Cs 0.0000 0.0000 0.2500
Cs2 Cs 0.3333 0.6667 0.0672
Nb1 Nb 0.3333 0.6667 0.6801
I1 I 0.0063 0.5031 0.2500
I2 I 0.1763 0.3526 0.5956
```

Main lines, sorted by position (10° ≤ 2θ ≤ 90°):
- hkl 1 0 1, d 6.940, 12.8°, I 28.9
- hkl 2 0 2, d 3.470, 25.7°, I 68.2
- hkl 0 0 6, d 3.327, 26.8°, I 34.6
- hkl 2 0 3, d 3.234, 27.6°, I 100.0
- hkl 2 0 4, d 2.973, 30.1°, I 67.9
- hkl 2 0 7, d 2.259, 39.9°, I 22.2
- hkl 2 2 0, d 2.137, 42.3°, I 58.7
- hkl 2 0 8, d 2.069, 43.8°, I 17.0
- hkl 2 2 6, d 1.798, 50.8°, I 33.2
- hkl 2 0 10, d 1.756, 52.1°, I 19.3